1.
# HfCo3H6
Calculated XRD peak list, Cu Kα (λ = 1.5418 Å). Input: a structure optimized by DFT (GGA-PBE).
Lines closer than 0.1° are merged.

Peak list (6 most intense, 10° ≤ 2θ ≤ 90°, most intense first)
41.4°, rel. 100, hkl 1 1 0; 43.6°, rel. 69, hkl 0 1 5; 24.6°, rel. 66, hkl 1 0 1; 37.5°, rel. 65, hkl 1 0 4; 61.7°, rel. 30, hkl 2 0 5; 27.7°, rel. 28, hkl 0 1 2

Structural model:
```
data_HfCo3H6
_cell_length_a 4.3595
_cell_length_b 4.3595
_cell_length_c 12.4207
_cell_angle_alpha 90.00
_cell_angle_beta 90.00
_cell_angle_gamma 120.00
_symmetry_space_group_name_H-M 'R 3'
_symmetry_Int_Tables_number 146
_symmetry_space_group_name_Hall 'R 3'
loop_
_atom_site_label
_atom_site_type_symbol
_atom_site_fract_x
_atom_site_fract_y
_atom_site_fract_z
Hf1 Hf 0.0000 0.0000 0.0000
Co1 Co 0.0000 0.0000 0.2183
Co2 Co 0.0000 0.0000 0.5677
Co3 Co 0.0000 0.0000 0.7923
H1 H 0.0112 0.5131 0.9826
H2 H 0.0531 0.3429 0.1399
```

2.
# SrGa3Pd9
Calculated XRD peak list, Cu Kα (λ = 1.5418 Å). Input: a structure optimized by DFT (GGA-PBE).
Lines closer than 0.1° are merged.

Peak list (6 most intense, 10° ≤ 2θ ≤ 90°, most intense first)
40.0°, rel. 100, hkl 0 4 2; 43.9°, rel. 79, hkl 2 4 -1; 33.6°, rel. 73, hkl 2 0 -1; 39.0°, rel. 65, hkl 1 5 0; 40.1°, rel. 51, hkl 2 2 -2; 43.3°, rel. 46, hkl 2 0 1

Structural model:
```
data_SrGa3Pd9
_cell_length_a 5.3327
_cell_length_b 13.0196
_cell_length_c 6.6553
_cell_angle_alpha 90.00
_cell_angle_beta 110.07
_cell_angle_gamma 90.00
_symmetry_space_group_name_H-M 'C 1 2/m 1'
_symmetry_Int_Tables_number 12
_symmetry_space_group_name_Hall '-C 2y'
loop_
_atom_site_label
_atom_site_type_symbol
_atom_site_fract_x
_atom_site_fract_y
_atom_site_fract_z
Sr1 Sr 0.0000 0.0000 0.0000
Ga1 Ga 0.0000 0.5000 0.5000
Ga2 Ga 0.2500 0.2500 0.0000
Pd1 Pd 0.0000 0.0000 0.5000
Pd2 Pd 0.0956 0.3872 0.2229
Pd3 Pd 0.1468 0.1791 0.3357
```